Starting from a DFT-relaxed cell (PBE+U, Alexandria), the powder diffractogram of CaMg14FeO16 was computed for Cu Ka.

Top 8 peaks for 2θ from 10° to 80°, sorted by position:
- 2θ 20.6, d = 4.310 Å, rel. 5
- 2θ 36.1, d = 2.489 Å, rel. 24
- 2θ 41.8, d = 2.161 Å, rel. 51
- 2θ 42.0, d = 2.152 Å, rel. 100
- 2θ 60.7, d = 1.525 Å, rel. 57
- 2θ 60.9, d = 1.522 Å, rel. 28
- 2θ 72.9, d = 1.298 Å, rel. 9
- 2θ 76.6, d = 1.244 Å, rel. 26

Crystal structure
a b c (Å): 8.609 8.609 4.322
angles (deg): 90.00 90.00 90.00
Fractional coordinates of all 32 atoms:
Ca 0.000 0.000 0.000
Mg 0.000 0.256 0.500
Mg 0.000 0.500 0.000
Mg 0.000 0.744 0.500
Mg 0.251 0.500 0.500
Mg 0.253 0.253 0.000
Mg 0.253 0.747 0.000
Mg 0.256 0.000 0.500
Mg 0.500 0.000 0.000
Mg 0.500 0.251 0.500
Mg 0.500 0.749 0.500
Mg 0.744 0.000 0.500
Mg 0.747 0.253 0.000
Mg 0.747 0.747 0.000
Mg 0.749 0.500 0.500
Fe 0.500 0.500 0.000
O 0.000 0.000 0.500
O 0.000 0.263 0.000
O 0.000 0.500 0.500
O 0.000 0.737 0.000
O 0.248 0.500 0.000
O 0.250 0.250 0.500
O 0.250 0.750 0.500
O 0.263 0.000 0.000
O 0.500 0.000 0.500
O 0.500 0.248 0.000
O 0.500 0.500 0.500
O 0.500 0.752 0.000
O 0.737 0.000 0.000
O 0.750 0.250 0.500
O 0.750 0.750 0.500
O 0.752 0.500 0.000

***

Starting from a DFT-relaxed cell (PBE+U, Alexandria), the powder diffractogram of Ca2MgFeSi4O12 was computed for Cu Ka.

Top 8 peaks for 2θ from 10° to 80°, sorted by position:
- 2θ 29.4, d = 3.041 Å, rel. 100
- 2θ 29.7, d = 3.011 Å, rel. 33
- 2θ 30.3, d = 2.953 Å, rel. 21
- 2θ 34.5, d = 2.601 Å, rel. 28
- 2θ 35.0, d = 2.566 Å, rel. 42
- 2θ 35.1, d = 2.558 Å, rel. 42
- 2θ 41.6, d = 2.169 Å, rel. 22
- 2θ 64.3, d = 1.449 Å, rel. 20

Crystal structure
a b c (Å): 6.727 6.727 5.339
angles (deg): 101.76 101.76 84.44
Fractional coordinates of all 20 atoms:
Ca 0.000 0.000 0.000
Ca 0.597 0.403 0.500
Mg 0.206 0.794 0.500
Fe 0.394 0.606 0.000
Si 0.104 0.321 0.512
Si 0.492 0.079 0.984
Si 0.679 0.896 0.488
Si 0.921 0.508 0.016
O 0.093 0.674 0.109
O 0.182 0.088 0.427
O 0.269 0.494 0.594
O 0.326 0.907 0.891
O 0.410 0.310 0.074
O 0.506 0.731 0.406
O 0.634 0.069 0.755
O 0.662 0.033 0.252
O 0.690 0.590 0.926
O 0.912 0.818 0.573
O 0.931 0.366 0.245
O 0.967 0.338 0.748